The following is a computed X-ray diffraction stick pattern of HgMo2Ir. It was derived from a PBE-relaxed structure, using Cu Kα.
No peak broadening, texture or thermal motion is included.

Cell and atoms:
Cell lengths 2.8080, 2.8080, 8.3524 Å; angles 90.00, 90.00, 90.00 degrees
Space group P4/mmm (No. 123)
Inequivalent atoms, fractional coordinates:
Hg (0.0000, 0.0000, 0.0000) [1 per cell]
Mo (0.5000, 0.5000, 0.2706) [2 per cell]
Ir (0.0000, 0.0000, 0.5000) [1 per cell]

Principal peaks in the range 2θ from 10° to 80°, sorted by position:
Position (°2θ)	d (Å)	Rel. int.	index
21.3	4.176	13	0 0 2
38.6	2.330	100	1 0 2
43.3	2.088	17	0 0 4
45.7	1.986	32	1 1 0
64.8	1.439	20	1 1 4
79.7	1.203	25	2 1 2



The following is a computed X-ray diffraction stick pattern of BaNa4. It was derived from a PBE-relaxed structure, using Cu Kα.
No peak broadening, texture or thermal motion is included.

Cell and atoms:
Cell lengths 6.3912, 11.5843, 6.6232 Å; angles 90.00, 118.79, 90.00 degrees
Space group C2/m (No. 12)
Inequivalent atoms, fractional coordinates:
Ba (0.0000, 0.0000, 0.0000) [2 per cell]
Na (0.1500, 0.3495, 0.3009) [8 per cell]

Principal peaks in the range 2θ from 10° to 80°, sorted by position:
Position (°2θ)	d (Å)	Rel. int.	index
15.3	5.798	30	0 2 0
17.6	5.041	42	1 1 -1
21.7	4.100	27	0 2 1
28.1	3.181	100	1 3 0
34.6	2.593	20	0 4 1
49.5	1.842	20	3 3 -1



The following is a computed X-ray diffraction stick pattern of CsRb2CBr6. It was derived from a PBE-relaxed structure, using Cu Kα.
No peak broadening, texture or thermal motion is included.

Cell and atoms:
Cell lengths 8.1065, 8.1065, 11.4527 Å; angles 90.00, 90.00, 90.00 degrees
Space group I4/mmm (No. 139)
Inequivalent atoms, fractional coordinates:
Cs (0.0000, 0.0000, 0.0000) [2 per cell]
Rb (0.0000, 0.5000, 0.2500) [4 per cell]
C (0.0000, 0.0000, 0.5000) [2 per cell]
Br (0.0000, 0.0000, 0.2907) [4 per cell]
Br (0.2095, 0.2095, 0.5000) [8 per cell]

Principal peaks in the range 2θ from 10° to 80°, sorted by position:
Position (°2θ)	d (Å)	Rel. int.	index
21.9	4.052	34	2 0 0
27.0	3.308	79	2 0 2
31.2	2.865	100	2 2 0
34.1	2.629	55	2 1 3
40.9	2.206	30	3 0 3
44.7	2.026	57	4 0 0